The following is a calculated PXRD pattern of Dy14ScTl. It was derived from DFT lattice parameters and positions (PBE), using Cu Kα X-rays.
Kinematic intensities with the Lorentz-polarization factor, no thermal factor.

Top 12 peaks for 2θ from 10° to 90°, in order of rising 2θ:
2theta, I_rel, index
31.3, 100, 2 0 2
36.1, 17, 0 0 4
36.4, 34, 2 2 0
52.2, 24, 2 2 4
52.4, 12, 4 0 0
62.0, 14, 2 0 6
62.3, 28, 4 2 2
65.3, 12, 4 0 4
85.4, 12, 4 2 6
85.7, 6, 6 0 2
88.4, 6, 4 4 4
88.5, 6, 6 2 0

Crystal structure
abc: 6.9863 6.9863 9.9477
angles: 90.00 90.00 90.00
Sites, in units of the cell vectors:
Dy 0.0000 0.0000 0.0000
Dy 0.0000 0.5000 0.0000
Dy 0.0000 0.5000 0.5000
Dy 0.2482 0.2482 0.2544
Dy 0.2482 0.2482 0.7456
Dy 0.2482 0.7518 0.2544
Dy 0.2482 0.7518 0.7456
Dy 0.5000 0.0000 0.0000
Dy 0.5000 0.0000 0.5000
Dy 0.5000 0.5000 0.0000
Dy 0.7518 0.2482 0.2544
Dy 0.7518 0.2482 0.7456
Dy 0.7518 0.7518 0.2544
Dy 0.7518 0.7518 0.7456
Sc 0.0000 0.0000 0.5000
Tl 0.5000 0.5000 0.5000